1.
The following is a computed powder diffraction line list of K2Ag5Pd5. It was derived from DFT lattice parameters and positions (PBE), using Cu Kα, 1.54184 Å.

Structure:
Lattice parameters (Å, degrees): 4.5813 5.5545 9.7944 90.00 90.00 90.00
Fractional positions:
K (0.0000, 0.0000, 0.0000)
K (0.0000, 0.5000, 0.5000)
Ag (0.0000, 0.0000, 0.3234)
Ag (0.0000, 0.0000, 0.6766)
Ag (0.0000, 0.5000, 0.1655)
Ag (0.0000, 0.5000, 0.8345)
Ag (0.5000, 0.0000, 0.5000)
Pd (0.5000, 0.2493, 0.2454)
Pd (0.5000, 0.2493, 0.7546)
Pd (0.5000, 0.5000, 0.0000)
Pd (0.5000, 0.7507, 0.2454)
Pd (0.5000, 0.7507, 0.7546)

Most intense lines, 5 to 70 degrees two-theta, low angle first:
18.11°, I 40; 18.36°, I 67; 37.22°, I 22; 37.50°, I 100; 37.88°, I 48; 39.33°, I 55; 41.83°, I 37; 42.29°, I 85; 60.98°, I 22; 66.43°, I 21

=====

2.
The following is a computed powder diffraction line list of K2Ag12Pd5. It was derived from DFT lattice parameters and positions (PBE), using Cu Kα, 1.54184 Å.

Structure:
Lattice parameters (Å, degrees): 7.2905 7.2905 7.2905 82.67 82.67 82.67
Fractional positions:
K (0.1618, 0.1618, 0.1618)
K (0.8382, 0.8382, 0.8382)
Ag (0.1569, 0.1569, 0.6431)
Ag (0.1569, 0.6431, 0.1569)
Ag (0.2082, 0.5000, 0.7918)
Ag (0.2082, 0.7918, 0.5000)
Ag (0.3569, 0.8431, 0.8431)
Ag (0.5000, 0.2082, 0.7918)
Ag (0.5000, 0.7918, 0.2082)
Ag (0.6431, 0.1569, 0.1569)
Ag (0.7918, 0.2082, 0.5000)
Ag (0.7918, 0.5000, 0.2082)
Ag (0.8431, 0.3569, 0.8431)
Ag (0.8431, 0.8431, 0.3569)
Pd (0.0000, 0.5000, 0.5000)
Pd (0.4030, 0.4030, 0.4030)
Pd (0.5000, 0.0000, 0.5000)
Pd (0.5000, 0.5000, 0.0000)
Pd (0.5970, 0.5970, 0.5970)

Most intense lines, 5 to 70 degrees two-theta, low angle first:
12.32°, I 41; 18.43°, I 33; 33.21°, I 22; 37.35°, I 49; 37.56°, I 75; 38.18°, I 36; 38.45°, I 20; 42.14°, I 100; 42.70°, I 34; 67.37°, I 21

=====

3.
The following is a computed powder diffraction line list of KPm2AgSe4. It was derived from DFT lattice parameters and positions (PBE), using Cu Kα, 1.54184 Å.

Structure:
Lattice parameters (Å, degrees): 7.4668 7.4668 15.0062 90.00 90.00 146.69
Fractional positions:
K (0.1193, 0.8807, 0.7500)
K (0.8807, 0.1193, 0.2500)
Pm (0.3678, 0.6322, 0.5673)
Pm (0.3678, 0.6322, 0.9327)
Pm (0.6322, 0.3678, 0.0673)
Pm (0.6322, 0.3678, 0.4327)
Ag (0.1588, 0.8412, 0.2500)
Ag (0.8412, 0.1588, 0.7500)
Se (0.0000, 0.0000, 0.0000)
Se (0.0000, 0.0000, 0.5000)
Se (0.2670, 0.7330, 0.1065)
Se (0.2670, 0.7330, 0.3935)
Se (0.4486, 0.5514, 0.7500)
Se (0.5514, 0.4486, 0.2500)
Se (0.7330, 0.2670, 0.6065)
Se (0.7330, 0.2670, 0.8935)

Most intense lines, 5 to 70 degrees two-theta, low angle first:
13.71°, I 78; 21.68°, I 21; 26.83°, I 22; 28.65°, I 39; 30.49°, I 100; 32.35°, I 40; 33.35°, I 22; 35.91°, I 22; 42.04°, I 84; 42.26°, I 45

=====

4.
The following is a computed powder diffraction line list of KAg8Pt2. It was derived from DFT lattice parameters and positions (PBE), using Cu Kα, 1.54184 Å.

Structure:
Lattice parameters (Å, degrees): 5.7132 5.7132 9.2649 90.00 90.00 90.00
Fractional positions:
K (0.0000, 0.0000, 0.0000)
Ag (0.2508, 0.2508, 0.3042)
Ag (0.2508, 0.2508, 0.6958)
Ag (0.2508, 0.7492, 0.3042)
Ag (0.2508, 0.7492, 0.6958)
Ag (0.7492, 0.2508, 0.3042)
Ag (0.7492, 0.2508, 0.6958)
Ag (0.7492, 0.7492, 0.3042)
Ag (0.7492, 0.7492, 0.6958)
Pt (0.0000, 0.5000, 0.5000)
Pt (0.5000, 0.0000, 0.5000)

Most intense lines, 5 to 70 degrees two-theta, low angle first:
9.55°, I 100; 22.00°, I 9; 24.03°, I 22; 29.33°, I 9; 36.97°, I 52; 43.14°, I 32; 44.87°, I 20; 45.99°, I 9; 49.18°, I 8; 68.75°, I 10

=====

5.
The following is a computed powder diffraction line list of K2Tl2AgPt. It was derived from DFT lattice parameters and positions (PBE), using Cu Kα, 1.54184 Å.

Structure:
Lattice parameters (Å, degrees): 9.1216 9.1216 9.1216 134.48 66.62 134.12
Fractional positions:
K (0.1596, 0.2468, 0.4064)
K (0.3404, 0.7468, 0.0872)
K (0.6596, 0.2532, 0.9128)
K (0.8404, 0.7532, 0.5936)
Tl (0.0931, 0.7307, 0.8238)
Tl (0.4069, 0.2307, 0.6376)
Tl (0.5931, 0.7693, 0.3624)
Tl (0.9069, 0.2693, 0.1762)
Ag (0.2500, 0.2500, 0.0000)
Ag (0.7500, 0.7500, 0.0000)
Pt (0.2500, 0.7500, 0.5000)
Pt (0.7500, 0.2500, 0.5000)

Most intense lines, 5 to 70 degrees two-theta, low angle first:
11.61°, I 100; 21.22°, I 47; 29.45°, I 31; 34.50°, I 35; 34.64°, I 33; 35.86°, I 46; 37.81°, I 24; 43.79°, I 16; 43.91°, I 15; 51.29°, I 13

=====

6.
The following is a computed powder diffraction line list of K2PuAgS4. It was derived from DFT lattice parameters and positions (PBE), using Cu Kα, 1.54184 Å.

Structure:
Lattice parameters (Å, degrees): 7.1469 3.9870 7.7815 90.00 111.41 90.00
Fractional positions:
K (0.0000, 0.0000, 0.0000)
K (0.5000, 0.5000, 0.0000)
Pu (0.0000, 0.5000, 0.5000)
Ag (0.5000, 0.0000, 0.5000)
S (0.2034, 0.0000, 0.7166)
S (0.2684, 0.5000, 0.3279)
S (0.7316, 0.5000, 0.6721)
S (0.7966, 0.0000, 0.2834)

Most intense lines, 5 to 70 degrees two-theta, low angle first:
12.22°, I 100; 24.58°, I 23; 26.05°, I 20; 26.65°, I 31; 29.07°, I 43; 30.94°, I 72; 41.53°, I 27; 44.36°, I 26; 45.50°, I 19; 52.60°, I 18

=====

7.
The following is a computed powder diffraction line list of KPuAgSe3. It was derived from DFT lattice parameters and positions (PBE), using Cu Kα, 1.54184 Å.

Structure:
Lattice parameters (Å, degrees): 8.8844 4.2381 9.7444 90.00 107.08 90.00
Fractional positions:
K (0.2077, 0.2500, 0.2505)
K (0.7923, 0.7500, 0.7495)
Pu (0.3218, 0.7500, 0.8461)
Pu (0.6782, 0.2500, 0.1539)
Ag (0.0797, 0.2500, 0.5949)
Ag (0.9203, 0.7500, 0.4051)
Se (0.1186, 0.2500, 0.8748)
Se (0.2432, 0.7500, 0.5443)
Se (0.4593, 0.7500, 0.1502)
Se (0.5407, 0.2500, 0.8498)
Se (0.7568, 0.2500, 0.4557)
Se (0.8814, 0.7500, 0.1252)

Most intense lines, 5 to 70 degrees two-theta, low angle first:
11.86°, I 100; 28.75°, I 16; 29.33°, I 29; 29.78°, I 32; 34.86°, I 20; 37.04°, I 15; 42.67°, I 14; 44.00°, I 21; 46.24°, I 12; 47.33°, I 12

=====

8.
The following is a computed powder diffraction line list of KRb14Ag. It was derived from DFT lattice parameters and positions (PBE), using Cu Kα, 1.54184 Å.

Structure:
Lattice parameters (Å, degrees): 13.9054 9.9647 9.9647 75.82 90.00 90.00
Fractional positions:
K (0.0000, 0.0000, 0.0000)
Rb (0.0000, 0.0200, 0.4765)
Rb (0.0000, 0.4765, 0.0200)
Rb (0.1878, 0.3199, 0.6890)
Rb (0.1878, 0.6890, 0.3199)
Rb (0.2180, 0.7766, 0.7766)
Rb (0.2696, 0.2059, 0.2059)
Rb (0.5000, 0.4436, 0.4436)
Rb (0.5000, 0.4958, 0.9173)
Rb (0.5000, 0.9173, 0.4958)
Rb (0.5000, 0.9736, 0.9736)
Rb (0.7304, 0.2059, 0.2059)
Rb (0.7820, 0.7766, 0.7766)
Rb (0.8122, 0.3199, 0.6890)
Rb (0.8122, 0.6890, 0.3199)
Ag (0.0000, 0.6270, 0.6270)

Most intense lines, 5 to 70 degrees two-theta, low angle first:
19.46°, I 12; 22.43°, I 100; 22.62°, I 16; 25.63°, I 13; 25.98°, I 9; 26.67°, I 14; 29.17°, I 8; 29.75°, I 10; 36.05°, I 10; 39.61°, I 12

=====

9.
The following is a computed powder diffraction line list of K4Rb5Ag. It was derived from DFT lattice parameters and positions (PBE), using Cu Kα, 1.54184 Å.

Structure:
Lattice parameters (Å, degrees): 11.9669 11.9669 13.5888 99.77 99.77 23.31
Fractional positions:
K (0.0033, 0.0033, 0.1744)
K (0.3482, 0.3482, 0.9583)
K (0.6518, 0.6518, 0.0417)
K (0.9967, 0.9967, 0.8256)
Rb (0.1700, 0.1700, 0.7354)
Rb (0.1723, 0.1723, 0.3811)
Rb (0.5000, 0.5000, 0.5000)
Rb (0.8277, 0.8277, 0.6189)
Rb (0.8300, 0.8300, 0.2646)
Ag (0.5000, 0.5000, 0.0000)

Most intense lines, 5 to 70 degrees two-theta, low angle first:
16.42°, I 22; 21.71°, I 41; 22.61°, I 100; 22.99°, I 29; 23.12°, I 59; 31.40°, I 32; 33.70°, I 24; 37.19°, I 18; 39.80°, I 22; 44.25°, I 20

=====

10.
The following is a computed powder diffraction line list of K4Rb2Ag. It was derived from DFT lattice parameters and positions (PBE), using Cu Kα, 1.54184 Å.

Structure:
Lattice parameters (Å, degrees): 11.6889 11.6889 11.6889 95.90 95.90 142.60
Fractional positions:
K (0.0874, 0.8226, 0.9100)
K (0.1774, 0.0874, 0.2648)
K (0.3226, 0.5874, 0.9100)
K (0.4126, 0.3226, 0.7352)
K (0.5874, 0.6774, 0.2648)
K (0.6774, 0.4126, 0.0900)
K (0.8226, 0.9126, 0.7352)
K (0.9126, 0.1774, 0.0900)
Rb (0.1110, 0.3890, 0.5000)
Rb (0.3890, 0.8890, 0.2779)
Rb (0.6110, 0.1110, 0.7221)
Rb (0.8890, 0.6110, 0.5000)
Ag (0.2500, 0.2500, 0.0000)
Ag (0.7500, 0.7500, 0.0000)

Most intense lines, 5 to 70 degrees two-theta, low angle first:
7.99°, I 27; 11.30°, I 38; 17.33°, I 21; 17.91°, I 18; 23.69°, I 100; 29.08°, I 33; 33.09°, I 42; 41.71°, I 19; 43.79°, I 25; 47.70°, I 23

=====

11.
The following is a computed powder diffraction line list of KRb12Ag6. It was derived from DFT lattice parameters and positions (PBE), using Cu Kα, 1.54184 Å.

Structure:
Lattice parameters (Å, degrees): 11.3220 11.3220 11.3220 109.47 109.47 109.47
Fractional positions:
K (0.0000, 0.0000, 0.0000)
Rb (0.1343, 0.8161, 0.3182)
Rb (0.1839, 0.3182, 0.5022)
Rb (0.1839, 0.6818, 0.8657)
Rb (0.3182, 0.1343, 0.8161)
Rb (0.3182, 0.5022, 0.1839)
Rb (0.4978, 0.8161, 0.6818)
Rb (0.5022, 0.1839, 0.3182)
Rb (0.6818, 0.4978, 0.8161)
Rb (0.6818, 0.8657, 0.1839)
Rb (0.8161, 0.3182, 0.1343)
Rb (0.8161, 0.6818, 0.4978)
Rb (0.8657, 0.1839, 0.6818)
Ag (0.1088, 0.6088, 0.5000)
Ag (0.3912, 0.5000, 0.8912)
Ag (0.5000, 0.1088, 0.6088)
Ag (0.5000, 0.8912, 0.3912)
Ag (0.6088, 0.5000, 0.1088)
Ag (0.8912, 0.3912, 0.5000)

Most intense lines, 5 to 70 degrees two-theta, low angle first:
9.57°, I 37; 13.55°, I 27; 23.57°, I 22; 25.49°, I 100; 28.98°, I 15; 35.00°, I 54; 40.22°, I 22; 41.44°, I 17; 49.29°, I 15; 60.96°, I 18

=====

12.
The following is a computed powder diffraction line list of K2RbAg. It was derived from DFT lattice parameters and positions (PBE), using Cu Kα, 1.54184 Å.

Structure:
Lattice parameters (Å, degrees): 19.8088 11.0739 7.6944 90.00 90.00 90.00
Fractional positions:
K (0.0423, 0.0596, 0.2283)
K (0.0423, 0.4404, 0.2283)
K (0.2135, 0.5606, 0.9795)
K (0.2135, 0.9394, 0.9795)
K (0.2865, 0.0606, 0.4795)
K (0.2865, 0.4394, 0.4795)
K (0.4577, 0.5596, 0.7283)
K (0.4577, 0.9404, 0.7283)
K (0.5423, 0.0596, 0.2717)
K (0.5423, 0.4404, 0.2717)
K (0.7135, 0.5606, 0.5205)
K (0.7135, 0.9394, 0.5205)
K (0.7865, 0.0606, 0.0205)
K (0.7865, 0.4394, 0.0205)
K (0.9577, 0.5596, 0.7717)
K (0.9577, 0.9404, 0.7717)
Rb (0.1062, 0.2500, 0.7309)
Rb (0.1373, 0.7500, 0.5113)
Rb (0.3627, 0.2500, 0.0113)
Rb (0.3938, 0.7500, 0.2309)
Rb (0.6062, 0.2500, 0.7691)
Rb (0.6373, 0.7500, 0.9887)
Rb (0.8627, 0.2500, 0.4887)
Rb (0.8938, 0.7500, 0.2691)
Ag (0.0664, 0.7500, 0.0400)
Ag (0.1876, 0.2500, 0.1937)
Ag (0.3124, 0.7500, 0.6937)
Ag (0.4336, 0.2500, 0.5400)
Ag (0.5664, 0.7500, 0.4600)
Ag (0.6876, 0.2500, 0.3063)
Ag (0.8124, 0.7500, 0.8063)
Ag (0.9336, 0.2500, 0.9600)

Most intense lines, 5 to 70 degrees two-theta, low angle first:
16.01°, I 55; 24.11°, I 32; 26.12°, I 100; 26.56°, I 34; 26.79°, I 32; 29.68°, I 26; 30.20°, I 26; 32.34°, I 23; 34.88°, I 23; 48.30°, I 23